Diffraction record for La2Cu2NiO6. The powder XRD pattern is theoretical, not measured: it uses a cell relaxed with GGA+U and Cu Kα.

Principal peaks in the range 2θ = 5–70°, most intense first:
| 2θ (°) | I (rel.) |
| --- | --- |
| 31.01 | 100.0 |
| 34.17 | 67.0 |
| 57.21 | 35.1 |
| 46.81 | 32.7 |
| 55.16 | 18.8 |
| 63.12 | 18.5 |
| 64.63 | 17.0 |
| 43.16 | 11.8 |

Structural model:
Lattice parameters (Å, degrees): 6.124 6.124 6.124 56.19 56.19 56.19
Positions (direct):
La 0.212 0.212 0.212
La 0.788 0.788 0.788
Cu 0.417 0.417 0.417
Cu 0.583 0.583 0.583
Ni 0.000 0.000 0.000
O 0.207 0.761 0.761
O 0.239 0.239 0.793
O 0.239 0.793 0.239
O 0.761 0.207 0.761
O 0.761 0.761 0.207
O 0.793 0.239 0.239